Record 1
Structure and theoretical powder XRD pattern of LaZnB4 (the PBE geometry in OQMD; Cu Kα X-rays).
Peak positions follow from Bragg's law for the DFT cell and can differ from measured ones.

Cell and atoms:
abc: 5.3037 5.3037 5.3037
angles: 145.30 119.08 72.05
Element x y z (fractional)
La1 0.0000 0.0000 0.0000
Zn1 0.5000 0.5000 0.0000
B1 0.0703 0.7452 0.3251
B2 0.4201 0.7452 0.6749
B3 0.5799 0.2548 0.3251
B4 0.9297 0.2548 0.6749

Main lines, low angle first (5 to 70 degrees two-theta):
2θ/deg  I_rel
19.48  26
20.71  74
32.85  61
33.32  28
39.15  100
39.56  50
42.13  23
54.43  29
59.25  16
63.47  16

***

Record 2
Structure and theoretical powder XRD pattern of Li4TaBO6 (the PBE geometry in OQMD; Cu Kα X-rays).
Peak positions follow from Bragg's law for the DFT cell and can differ from measured ones.

Cell and atoms:
abc: 5.1339 5.1339 4.9550
angles: 98.24 98.24 123.67
Element x y z (fractional)
Li1 0.0000 0.0000 0.0000
Li2 0.1897 0.8103 0.5000
Li3 0.4816 0.5184 0.5000
Li4 0.8799 0.1201 0.5000
Ta1 0.6667 0.3333 0.0000
B1 0.2895 0.7105 0.0000
O1 0.1513 0.4553 0.1686
O2 0.2999 0.2160 0.7287
O3 0.4275 0.0240 0.2238
O4 0.5447 0.8487 0.8314
O5 0.7840 0.7001 0.2713
O6 0.9760 0.5725 0.7762

Main lines, low angle first (5 to 70 degrees two-theta):
2θ/deg  I_rel
18.80  100
19.61  78
21.60  93
24.56  80
27.30  64
32.51  37
35.54  35
38.50  25
42.96  26
43.34  48

***

Record 3
Structure and theoretical powder XRD pattern of LiZnBO3 (the PBE geometry in OQMD; Cu Kα X-rays).
Peak positions follow from Bragg's law for the DFT cell and can differ from measured ones.

Cell and atoms:
abc: 5.0842 5.9792 7.9627
angles: 77.35 89.87 89.57
Element x y z (fractional)
Li1 0.1724 0.2264 0.1010
Li2 0.1740 0.5241 0.7701
Li3 0.8260 0.4759 0.2299
Li4 0.8276 0.7736 0.8990
Zn1 0.3266 0.3338 0.4178
Zn2 0.3425 0.0342 0.7838
Zn3 0.6575 0.9658 0.2162
Zn4 0.6734 0.6662 0.5822
B1 0.1716 0.8355 0.4132
B2 0.3344 0.6618 0.0765
B3 0.6656 0.3382 0.9235
B4 0.8284 0.1645 0.5868
O1 0.0991 0.1782 0.6018
O2 0.1978 0.7639 0.9292
O3 0.2011 0.5038 0.1985
O4 0.2966 0.6695 0.5366
O5 0.3037 0.0117 0.3045
O6 0.4029 0.2887 0.9037
O7 0.5971 0.7113 0.0963
O8 0.6963 0.9883 0.6955
O9 0.7034 0.3305 0.4634
O10 0.7989 0.4962 0.8015
O11 0.8022 0.2361 0.0708
O12 0.9009 0.8218 0.3982

Main lines, low angle first (5 to 70 degrees two-theta):
2θ/deg  I_rel
11.39  49
17.44  49
24.29  37
24.46  85
28.92  44
30.30  74
34.16  100
35.22  39
35.31  30
50.12  28

***

Record 4
Structure and theoretical powder XRD pattern of Li2B6Os (the PBE geometry in OQMD; Cu Kα X-rays).
Peak positions follow from Bragg's law for the DFT cell and can differ from measured ones.

Cell and atoms:
abc: 8.8361 10.9117 3.3551
angles: 90.00 90.00 90.00
Element x y z (fractional)
Li1 0.0527 0.1332 0.0000
Li2 0.1685 0.4115 0.0000
Li3 0.3315 0.9115 0.0000
Li4 0.4473 0.6332 0.0000
Li5 0.5527 0.3668 0.0000
Li6 0.6685 0.0885 0.0000
Li7 0.8315 0.5885 0.0000
Li8 0.9473 0.8668 0.0000
B1 0.0197 0.2891 0.5000
B2 0.0550 0.5623 0.5000
B3 0.0957 0.9732 0.5000
B4 0.1313 0.8214 0.5000
B5 0.1976 0.2391 0.5000
B6 0.2399 0.0770 0.5000
B7 0.2601 0.5770 0.5000
B8 0.3024 0.7391 0.5000
B9 0.3687 0.3214 0.5000
B10 0.4043 0.4732 0.5000
B11 0.4450 0.0623 0.5000
B12 0.4803 0.7891 0.5000
B13 0.5197 0.2109 0.5000
B14 0.5550 0.9377 0.5000
B15 0.5957 0.5268 0.5000
B16 0.6313 0.6786 0.5000
B17 0.6976 0.2609 0.5000
B18 0.7399 0.4230 0.5000
B19 0.7601 0.9230 0.5000
B20 0.8024 0.7609 0.5000
B21 0.8687 0.1786 0.5000
B22 0.9043 0.0268 0.5000
B23 0.9450 0.4377 0.5000
B24 0.9803 0.7109 0.5000
Os1 0.1510 0.6796 0.0000
Os2 0.3490 0.1796 0.0000
Os3 0.6510 0.8204 0.0000
Os4 0.8490 0.3204 0.0000

Main lines, low angle first (5 to 70 degrees two-theta):
2θ/deg  I_rel
12.89  25
16.25  55
19.12  75
21.70  100
26.53  51
32.94  35
34.56  59
43.99  34
48.12  34
59.52  27

***

Copy entry 4 word for word.
Structure and theoretical powder XRD pattern of Li2B6Os (the PBE geometry in OQMD; Cu Kα X-rays).
Peak positions follow from Bragg's law for the DFT cell and can differ from measured ones.

Cell and atoms:
abc: 8.8361 10.9117 3.3551
angles: 90.00 90.00 90.00
Element x y z (fractional)
Li1 0.0527 0.1332 0.0000
Li2 0.1685 0.4115 0.0000
Li3 0.3315 0.9115 0.0000
Li4 0.4473 0.6332 0.0000
Li5 0.5527 0.3668 0.0000
Li6 0.6685 0.0885 0.0000
Li7 0.8315 0.5885 0.0000
Li8 0.9473 0.8668 0.0000
B1 0.0197 0.2891 0.5000
B2 0.0550 0.5623 0.5000
B3 0.0957 0.9732 0.5000
B4 0.1313 0.8214 0.5000
B5 0.1976 0.2391 0.5000
B6 0.2399 0.0770 0.5000
B7 0.2601 0.5770 0.5000
B8 0.3024 0.7391 0.5000
B9 0.3687 0.3214 0.5000
B10 0.4043 0.4732 0.5000
B11 0.4450 0.0623 0.5000
B12 0.4803 0.7891 0.5000
B13 0.5197 0.2109 0.5000
B14 0.5550 0.9377 0.5000
B15 0.5957 0.5268 0.5000
B16 0.6313 0.6786 0.5000
B17 0.6976 0.2609 0.5000
B18 0.7399 0.4230 0.5000
B19 0.7601 0.9230 0.5000
B20 0.8024 0.7609 0.5000
B21 0.8687 0.1786 0.5000
B22 0.9043 0.0268 0.5000
B23 0.9450 0.4377 0.5000
B24 0.9803 0.7109 0.5000
Os1 0.1510 0.6796 0.0000
Os2 0.3490 0.1796 0.0000
Os3 0.6510 0.8204 0.0000
Os4 0.8490 0.3204 0.0000

Main lines, low angle first (5 to 70 degrees two-theta):
2θ/deg  I_rel
12.89  25
16.25  55
19.12  75
21.70  100
26.53  51
32.94  35
34.56  59
43.99  34
48.12  34
59.52  27